Entry 1:
Diffraction record for CsBCl4. The powder diffractogram is theoretical, not measured: it uses a PBE-relaxed structure and a wavelength of 1.5418 Å.
No peak broadening, texture or thermal motion is included.

Atomic structure:
a b c (Å): 9.715 6.107 6.993
angles (deg): 90.00 90.00 90.00
Atoms (fractional coordinates):
Cs  0.000  0.187  0.000
Cs  0.500  0.813  0.500
B  0.000  0.802  0.535
B  0.500  0.198  0.035
Cl  0.000  0.107  0.511
Cl  0.000  0.681  0.290
Cl  0.155  0.714  0.672
Cl  0.345  0.286  0.172
Cl  0.500  0.319  0.790
Cl  0.500  0.893  0.011
Cl  0.655  0.286  0.172
Cl  0.845  0.714  0.672

The 10 most intense peaks (5 to 70 degrees two-theta), in order of rising 2θ:
18.26 deg, I = 86.8; 19.30 deg, I = 100.0; 26.69 deg, I = 51.6; 29.25 deg, I = 24.7; 30.42 deg, I = 28.7; 30.69 deg, I = 38.3; 30.87 deg, I = 92.6; 31.26 deg, I = 37.3; 31.53 deg, I = 32.0; 40.75 deg, I = 25.2

=====

Entry 2:
Diffraction record for CsB2Cl. The powder diffractogram is theoretical, not measured: it uses a PBE-relaxed structure and a wavelength of 1.5418 Å.
No peak broadening, texture or thermal motion is included.

Atomic structure:
a b c (Å): 10.698 10.698 10.698
angles (deg): 157.24 157.24 32.41
Atoms (fractional coordinates):
Cs  0.375  0.625  0.750
Cs  0.625  0.375  0.250
B  0.000  0.000  0.000
B  0.000  0.000  0.500
B  0.000  0.500  0.000
B  0.500  0.000  0.500
Cl  0.125  0.875  0.250
Cl  0.875  0.125  0.750

The 10 most intense peaks (5 to 70 degrees two-theta), in order of rising 2θ:
17.26 deg, I = 84.9; 21.49 deg, I = 27.9; 24.77 deg, I = 36.5; 30.35 deg, I = 21.6; 31.20 deg, I = 100.0; 34.93 deg, I = 22.0; 40.07 deg, I = 48.9; 42.84 deg, I = 20.1; 46.51 deg, I = 31.3; 54.19 deg, I = 19.7

=====

Entry 3:
Diffraction record for Cs2NiBCl6. The powder diffractogram is theoretical, not measured: it uses a PBE-relaxed structure and a wavelength of 1.5418 Å.
No peak broadening, texture or thermal motion is included.

Atomic structure:
a b c (Å): 7.509 7.509 7.509
angles (deg): 123.57 123.57 83.92
Atoms (fractional coordinates):
Cs  0.250  0.750  0.500
Cs  0.750  0.250  0.500
Ni  0.000  0.000  0.000
B  0.500  0.500  0.000
Cl  0.194  0.194  0.000
Cl  0.300  0.300  0.601
Cl  0.300  0.700  0.000
Cl  0.700  0.300  0.000
Cl  0.700  0.700  0.399
Cl  0.806  0.806  0.000

The 10 most intense peaks (5 to 70 degrees two-theta), in order of rising 2θ:
23.83 deg, I = 100.0; 25.08 deg, I = 43.2; 29.24 deg, I = 19.8; 29.82 deg, I = 85.8; 32.06 deg, I = 33.0; 35.77 deg, I = 49.9; 43.44 deg, I = 27.9; 48.79 deg, I = 30.5; 52.43 deg, I = 18.9; 65.10 deg, I = 15.1

=====

Entry 4:
Diffraction record for Cs2BPtCl6. The powder diffractogram is theoretical, not measured: it uses a PBE-relaxed structure and a wavelength of 1.5418 Å.
No peak broadening, texture or thermal motion is included.

Atomic structure:
a b c (Å): 7.559 7.559 7.559
angles (deg): 125.03 125.03 81.50
Atoms (fractional coordinates):
Cs  0.250  0.750  0.500
Cs  0.750  0.250  0.500
B  0.000  0.000  0.000
Pt  0.500  0.500  0.000
Cl  0.205  0.205  0.410
Cl  0.205  0.795  0.000
Cl  0.297  0.297  0.000
Cl  0.703  0.703  0.000
Cl  0.795  0.205  0.000
Cl  0.795  0.795  0.590

The 10 most intense peaks (5 to 70 degrees two-theta), in order of rising 2θ:
14.87 deg, I = 44.0; 23.80 deg, I = 100.0; 25.53 deg, I = 41.9; 29.67 deg, I = 38.9; 29.99 deg, I = 20.1; 31.24 deg, I = 30.0; 36.42 deg, I = 39.4; 40.77 deg, I = 19.5; 43.98 deg, I = 32.5; 48.72 deg, I = 28.8

=====

Entry 5:
Diffraction record for MgCu2B2H8Cl2O8. The powder diffractogram is theoretical, not measured: it uses a PBE-relaxed structure and a wavelength of 1.5418 Å.
No peak broadening, texture or thermal motion is included.

Atomic structure:
a b c (Å): 6.619 6.619 5.416
angles (deg): 90.00 90.00 90.00
Atoms (fractional coordinates):
Mg  0.000  0.000  0.000
Cu  0.000  0.500  0.492
Cu  0.500  0.000  0.508
B  0.000  0.000  0.500
B  0.500  0.500  0.500
H  0.182  0.241  0.658
H  0.241  0.818  0.342
H  0.307  0.561  0.800
H  0.439  0.307  0.200
H  0.561  0.693  0.200
H  0.693  0.439  0.800
H  0.759  0.182  0.342
H  0.818  0.759  0.658
Cl  0.000  0.500  0.092
Cl  0.500  0.000  0.908
O  0.056  0.160  0.680
O  0.160  0.944  0.320
O  0.314  0.478  0.651
O  0.478  0.686  0.349
O  0.522  0.314  0.349
O  0.686  0.522  0.651
O  0.840  0.056  0.320
O  0.944  0.840  0.680

The 10 most intense peaks (5 to 70 degrees two-theta), in order of rising 2θ:
16.37 deg, I = 45.9; 18.96 deg, I = 31.9; 26.94 deg, I = 100.0; 34.53 deg, I = 32.0; 38.43 deg, I = 43.8; 43.19 deg, I = 60.8; 46.51 deg, I = 15.3; 51.62 deg, I = 23.0; 54.48 deg, I = 15.3; 55.51 deg, I = 19.0

=====

Entry 6:
Diffraction record for KCuB2Cl8. The powder diffractogram is theoretical, not measured: it uses a PBE-relaxed structure and a wavelength of 1.5418 Å.
No peak broadening, texture or thermal motion is included.

Atomic structure:
a b c (Å): 9.705 9.705 9.705
angles (deg): 35.82 35.82 35.82
Atoms (fractional coordinates):
K  0.000  0.000  0.000
Cu  0.500  0.500  0.500
B  0.245  0.245  0.245
B  0.755  0.755  0.755
Cl  0.077  0.769  0.482
Cl  0.231  0.518  0.923
Cl  0.314  0.314  0.314
Cl  0.482  0.077  0.769
Cl  0.518  0.923  0.231
Cl  0.686  0.686  0.686
Cl  0.769  0.482  0.077
Cl  0.923  0.231  0.518

The 10 most intense peaks (5 to 70 degrees two-theta), in order of rising 2θ:
9.75 deg, I = 26.0; 17.46 deg, I = 15.4; 21.59 deg, I = 74.2; 29.54 deg, I = 24.0; 29.94 deg, I = 12.8; 31.55 deg, I = 78.7; 36.02 deg, I = 100.0; 37.34 deg, I = 13.9; 50.54 deg, I = 29.6; 53.15 deg, I = 32.1